Record 1
Structure and computed powder XRD pattern of LaTb2Nd2Dy (a structure optimized by DFT (GGA-PBE); copper Kα).

Crystal structure
Unit cell a=7.0167 b=16.5547 c=3.5432 alpha=90.00 beta=90.00 gamma=90.00
Space group Pnnm (No. 58)
Asymmetric unit:
La 0.0000 0.0000 0.0000
Tb 0.2493 0.1546 0.5000
Nd 0.2465 0.3402 0.0000
Dy 0.0000 0.5000 0.5000

Principal peaks in the range 2θ from 15° to 90°, in order of rising 2θ:
- hkl 2 2 0, 3.230 Å, 2θ 27.62, intensity 44
- hkl 0 3 1, 2.981 Å, 2θ 29.97, intensity 100
- hkl 0 6 0, 2.759 Å, 2θ 32.45, intensity 38
- hkl 2 4 0, 2.676 Å, 2θ 33.48, intensity 48
- hkl 2 1 1, 2.465 Å, 2θ 36.45, intensity 59
- hkl 2 7 1, 1.716 Å, 2θ 53.40, intensity 31
- hkl 4 3 1, 1.512 Å, 2θ 61.31, intensity 26
- hkl 2 4 2, 1.477 Å, 2θ 62.92, intensity 16



Record 2
Structure and computed powder XRD pattern of Tb2TlZn3 (a structure optimized by DFT (GGA-PBE); copper Kα).

Crystal structure
Unit cell a=3.7103 b=4.5854 c=16.0602 alpha=90.00 beta=90.00 gamma=90.00
Space group Imm2 (No. 44)
Asymmetric unit:
Tb 0.0000 0.0000 0.0000
Tb 0.0000 0.5000 0.2801
Tl 0.0000 0.0000 0.6023
Zn 0.0000 0.0000 0.4352
Zn 0.0000 0.5000 0.6878
Zn 0.0000 0.5000 0.8400

Principal peaks in the range 2θ from 15° to 90°, in order of rising 2θ:
- hkl 1 0 3, 3.049 Å, 2θ 29.29, intensity 32
- hkl 1 1 2, 2.715 Å, 2θ 33.00, intensity 100
- hkl 0 1 5, 2.631 Å, 2θ 34.08, intensity 52
- hkl 0 2 0, 2.293 Å, 2θ 39.30, intensity 29
- hkl 1 0 7, 1.951 Å, 2θ 46.54, intensity 17
- hkl 2 0 0, 1.855 Å, 2θ 49.11, intensity 15
- hkl 2 1 5, 1.516 Å, 2θ 61.13, intensity 19
- hkl 1 3 2, 1.392 Å, 2θ 67.27, intensity 15



Record 3
Structure and computed powder XRD pattern of NaCaCl (a structure optimized by DFT (GGA-PBE); copper Kα).

Crystal structure
Unit cell a=3.9558 b=3.9558 c=6.8746 alpha=90.00 beta=90.00 gamma=120.00
Space group P3m1 (No. 156)
Asymmetric unit:
Na 0.0000 0.0000 0.0000
Ca 0.6667 0.3333 0.4213
Cl 0.3333 0.6667 0.6819

Principal peaks in the range 2θ from 15° to 90°, in order of rising 2θ:
- hkl 1 0 1, 3.066 Å, 2θ 29.12, intensity 100
- hkl 0 1 2, 2.426 Å, 2θ 37.05, intensity 51
- hkl 1 1 0, 1.978 Å, 2θ 45.88, intensity 26
- hkl 0 1 3, 1.905 Å, 2θ 47.75, intensity 12
- hkl 0 2 1, 1.662 Å, 2θ 55.27, intensity 14
- hkl 2 0 2, 1.533 Å, 2θ 60.38, intensity 10
- hkl 1 1 3, 1.497 Å, 2θ 61.98, intensity 11
- hkl 2 1 1, 1.272 Å, 2θ 74.58, intensity 10



Record 4
Structure and computed powder XRD pattern of Ba7Tl3H2 (a structure optimized by DFT (GGA-PBE); copper Kα).

Crystal structure
Unit cell a=5.6979 b=27.5576 c=5.5387 alpha=90.00 beta=90.00 gamma=90.00
Space group Cmmm (No. 65)
Asymmetric unit:
Ba 0.0000 0.0000 0.0000
Ba 0.0000 0.1049 0.5000
Ba 0.0000 0.2102 0.0000
Ba 0.0000 0.3998 0.0000
Tl 0.0000 0.3023 0.5000
Tl 0.0000 0.5000 0.5000
H 0.0000 0.1032 0.0000

Principal peaks in the range 2θ from 15° to 90°, in order of rising 2θ:
- hkl 1 5 1, 3.222 Å, 2θ 27.69, intensity 100
- hkl 2 0 0, 2.849 Å, 2θ 31.40, intensity 19
- hkl 0 0 2, 2.769 Å, 2θ 32.33, intensity 17
- hkl 0 10 0, 2.756 Å, 2θ 32.49, intensity 16
- hkl 2 0 2, 1.986 Å, 2θ 45.69, intensity 13
- hkl 3 5 1, 1.708 Å, 2θ 53.66, intensity 16
- hkl 1 5 3, 1.673 Å, 2θ 54.86, intensity 15
- hkl 2 10 2, 1.611 Å, 2θ 57.18, intensity 12



Record 5
Structure and computed powder XRD pattern of La6Tb2Ho (a structure optimized by DFT (GGA-PBE); copper Kα).

Crystal structure
Unit cell a=9.5159 b=17.9339 c=3.7003 alpha=90.00 beta=90.00 gamma=90.00
Space group Cmmm (No. 65)
Asymmetric unit:
La 0.1718 0.1656 0.0000
La 0.1791 0.0000 0.5000
Tb 0.0000 0.3281 0.5000
Ho 0.0000 0.5000 0.0000

Principal peaks in the range 2θ from 15° to 90°, in order of rising 2θ:
- hkl 3 1 0, 3.123 Å, 2θ 28.58, intensity 36
- hkl 0 6 0, 2.988 Å, 2θ 29.90, intensity 100
- hkl 2 2 1, 2.777 Å, 2θ 32.23, intensity 31
- hkl 2 4 1, 2.447 Å, 2θ 36.72, intensity 19
- hkl 3 5 0, 2.376 Å, 2θ 37.86, intensity 19
- hkl 1 9 1, 1.725 Å, 2θ 53.08, intensity 12
- hkl 5 3 1, 1.628 Å, 2θ 56.51, intensity 16
- hkl 0 6 2, 1.573 Å, 2θ 58.69, intensity 11



Record 6
Structure and computed powder XRD pattern of Cs4PdAu (a structure optimized by DFT (GGA-PBE); copper Kα).

Crystal structure
Unit cell a=10.5521 b=6.1075 c=10.5248 alpha=90.00 beta=109.60 gamma=90.00
Space group C2/m (No. 12)
Asymmetric unit:
Cs 0.1199 0.0000 0.3611
Cs 0.1294 0.5000 0.8886
Pd 0.0000 0.0000 0.0000
Au 0.0000 0.5000 0.5000

Principal peaks in the range 2θ from 15° to 90°, in order of rising 2θ:
- hkl 2 0 0, 4.973 Å, 2θ 17.84, intensity 60
- hkl 0 2 0, 3.050 Å, 2θ 29.28, intensity 100
- hkl 2 0 2, 3.041 Å, 2θ 29.37, intensity 96
- hkl 2 2 0, 2.599 Å, 2θ 34.51, intensity 27
- hkl 4 0 -4, 2.153 Å, 2θ 41.96, intensity 36
- hkl 3 3 -1, 1.761 Å, 2θ 51.93, intensity 39
- hkl 6 0 -2, 1.757 Å, 2θ 52.04, intensity 19
- hkl 2 0 -6, 1.754 Å, 2θ 52.16, intensity 17



Record 7
Structure and computed powder XRD pattern of BaBe2NiAg (a structure optimized by DFT (GGA-PBE); copper Kα).

Crystal structure
Unit cell a=5.4279 b=5.4279 c=5.7546 alpha=90.00 beta=90.00 gamma=90.00
Space group P4/mmm (No. 123)
Asymmetric unit:
Ba 0.0000 0.0000 0.0000
Be 0.0000 0.5000 0.0000
Ni 0.5000 0.5000 0.5000
Ag 0.0000 0.0000 0.5000

Principal peaks in the range 2θ from 15° to 90°, in order of rising 2θ:
- hkl 1 0 0, 5.428 Å, 2θ 16.33, intensity 82
- hkl 1 1 0, 3.838 Å, 2θ 23.17, intensity 100
- hkl 0 0 2, 2.877 Å, 2θ 31.08, intensity 28
- hkl 2 0 0, 2.714 Å, 2θ 33.01, intensity 48
- hkl 1 0 2, 2.542 Å, 2θ 35.31, intensity 25
- hkl 1 1 2, 2.302 Å, 2θ 39.13, intensity 51
- hkl 2 0 2, 1.974 Å, 2θ 45.97, intensity 37
- hkl 3 1 2, 1.474 Å, 2θ 63.07, intensity 24



Record 8
Structure and computed powder XRD pattern of Ac2BeTeO6 (a structure optimized by DFT (GGA-PBE); copper Kα).

Crystal structure
Unit cell a=5.7653 b=5.7653 c=29.8381 alpha=90.00 beta=90.00 gamma=120.00
Space group R-3m (No. 166, hexagonal axes)
Asymmetric unit:
Ac 0.0000 0.0000 0.1327
Ac 0.0000 0.0000 0.2686
Be 0.0000 0.0000 0.3821
Te 0.0000 0.0000 0.0000
Te 0.0000 0.0000 0.5000
O 0.0161 0.5081 0.2879
O 0.0294 0.5147 0.8712

Principal peaks in the range 2θ from 15° to 90°, in order of rising 2θ:
- hkl 0 1 5, 3.829 Å, 2θ 23.23, intensity 26
- hkl 1 0 7, 3.242 Å, 2θ 27.51, intensity 48
- hkl 0 1 8, 2.988 Å, 2θ 29.90, intensity 79
- hkl 1 1 0, 2.883 Å, 2θ 31.02, intensity 100
- hkl 0 2 7, 2.154 Å, 2θ 41.94, intensity 30
- hkl 2 0 8, 2.075 Å, 2θ 43.63, intensity 33
- hkl 1 2 8, 1.684 Å, 2θ 54.49, intensity 30
- hkl 1 1 15, 1.637 Å, 2θ 56.18, intensity 25